Starting from DFT lattice parameters and positions (PBE), the X-ray diffraction stick pattern of CsBO6 was simulated for copper Kα.
Peak positions follow from Bragg's law for the DFT cell and can differ from measured ones.

Crystal structure
Unit cell a=5.5493 b=5.5493 c=8.0466 alpha=90.00 beta=90.00 gamma=90.00
Space group I-42m (No. 121)
Inequivalent atoms, fractional coordinates:
Cs: 0.0000 0.0000 0.0000 (multiplicity 2)
B: 0.0000 0.0000 0.5000 (multiplicity 2)
O: 0.0000 0.5000 0.2500 (multiplicity 4)
O: 0.1408 0.1408 0.3824 (multiplicity 8)

Main lines, sorted by position (15° ≤ 2θ ≤ 90°):
(1 0 1), 2θ = 19.43°, I = 77
(0 0 2), 2θ = 22.09°, I = 24
(1 1 0), 2θ = 22.66°, I = 65
(1 1 2), 2θ = 31.86°, I = 100
(2 0 0), 2θ = 32.26°, I = 38
(1 0 3), 2θ = 37.23°, I = 43
(2 1 1), 2θ = 37.94°, I = 67
(2 1 3), 2θ = 50.08°, I = 26
(3 0 1), 2θ = 50.64°, I = 21
(3 1 2), 2θ = 57.28°, I = 30

---

Starting from DFT lattice parameters and positions (PBE), the X-ray diffraction stick pattern of SmGe3Ir5 was simulated for copper Kα.
Peak positions follow from Bragg's law for the DFT cell and can differ from measured ones.

Crystal structure
Unit cell a=4.0376 b=12.7762 c=12.3959 alpha=90.00 beta=90.00 gamma=90.00
Space group Cmcm (No. 63)
Inequivalent atoms, fractional coordinates:
Sm: 0.0000 0.1818 0.2500 (multiplicity 4)
Ge: 0.0000 0.1131 0.7500 (multiplicity 4)
Ge: 0.0000 0.3857 0.5532 (multiplicity 8)
Ir: 0.0000 0.0000 0.0000 (multiplicity 4)
Ir: 0.0000 0.2021 0.5721 (multiplicity 8)
Ir: 0.0000 0.4404 0.1429 (multiplicity 8)

Main lines, sorted by position (15° ≤ 2θ ≤ 90°):
(0 2 1), 2θ = 15.61°, I = 54
(1 1 3), 2θ = 31.77°, I = 100
(1 1 4), 2θ = 37.25°, I = 100
(1 3 3), 2θ = 37.63°, I = 42
(1 5 0), 2θ = 41.84°, I = 84
(1 1 5), 2θ = 43.41°, I = 36
(1 5 2), 2θ = 44.43°, I = 37
(2 0 0), 2θ = 44.90°, I = 79
(0 2 6), 2θ = 46.18°, I = 44
(0 6 3), 2θ = 48.07°, I = 64

---

Starting from DFT lattice parameters and positions (PBE), the X-ray diffraction stick pattern of Na2Tl3Pb7 was simulated for copper Kα.
Peak positions follow from Bragg's law for the DFT cell and can differ from measured ones.

Crystal structure
Unit cell a=5.9768 b=3.4416 c=18.4930 alpha=90.00 beta=92.41 gamma=90.00
Space group P2/m (No. 10)
Inequivalent atoms, fractional coordinates:
Na: 0.2084 0.0000 0.2971 (multiplicity 2)
Tl: 0.0000 0.0000 0.0000 (multiplicity 1)
Tl: 0.2774 0.5000 0.6351 (multiplicity 2)
Pb: 0.1994 0.5000 0.1467 (multiplicity 2)
Pb: 0.2456 0.0000 0.4663 (multiplicity 2)
Pb: 0.3041 0.0000 0.8270 (multiplicity 2)
Pb: 0.5000 0.5000 0.0000 (multiplicity 1)

Main lines, sorted by position (15° ≤ 2θ ≤ 90°):
(0 0 6), 2θ = 28.98°, I = 49
(2 0 0), 2θ = 29.93°, I = 23
(2 0 -1), 2θ = 30.12°, I = 29
(1 1 2), 2θ = 31.73°, I = 100
(1 0 -6), 2θ = 32.14°, I = 23
(0 1 4), 2θ = 32.44°, I = 23
(1 1 -3), 2θ = 33.10°, I = 31
(1 1 -5), 2θ = 38.39°, I = 20
(1 1 8), 2θ = 50.49°, I = 24
(0 2 0), 2θ = 53.22°, I = 27

---

Starting from DFT lattice parameters and positions (PBE), the X-ray diffraction stick pattern of B3W4 was simulated for copper Kα.
Peak positions follow from Bragg's law for the DFT cell and can differ from measured ones.

Crystal structure
Unit cell a=11.4183 b=3.0957 c=4.7290 alpha=90.00 beta=100.77 gamma=90.00
Space group C2/m (No. 12)
Inequivalent atoms, fractional coordinates:
B: 0.0000 0.0000 0.0000 (multiplicity 2)
B: 0.2352 0.0000 0.3951 (multiplicity 4)
W: 0.0764 0.5000 0.2976 (multiplicity 4)
W: 0.1620 0.0000 0.8269 (multiplicity 4)

Main lines, sorted by position (15° ≤ 2θ ≤ 90°):
(4 0 0), 2θ = 31.91°, I = 19
(4 0 -1), 2θ = 34.12°, I = 42
(1 1 1), 2θ = 36.59°, I = 100
(3 1 0), 2θ = 37.73°, I = 40
(0 0 2), 2θ = 38.77°, I = 28
(2 0 -2), 2θ = 39.10°, I = 29
(3 1 -1), 2θ = 40.41°, I = 55
(4 0 1), 2θ = 40.56°, I = 42
(3 1 -2), 2θ = 51.55°, I = 20
(5 1 2), 2θ = 70.47°, I = 19